Diffraction record for Ta6Bi2O19. The PXRD pattern is computed, not measured: it uses a DFT-relaxed cell (GGA-PBE, the Materials Project) and Cu Kα, 1.54184 Å.

Peak list (8 most intense, 15° ≤ 2θ ≤ 90°, by angle)
d_spacing, I/Imax
5.491, 31.6
3.431, 74.6
3.133, 100.0
3.030, 55.3
2.699, 58.3
2.512, 48.3
1.830, 45.9
1.615, 49.1

Structural model:
a b c (Å): 6.341 6.341 20.588
angles (deg): 90.00 90.00 120.00
Fractional positions:
Ta  0.000  0.354  0.157
Ta  0.000  0.354  0.343
Ta  0.000  0.646  0.657
Ta  0.000  0.646  0.843
Ta  0.354  0.000  0.157
Ta  0.354  0.000  0.343
Ta  0.354  0.354  0.657
Ta  0.354  0.354  0.843
Ta  0.646  0.000  0.657
Ta  0.646  0.000  0.843
Ta  0.646  0.646  0.157
Ta  0.646  0.646  0.343
Bi  0.333  0.667  0.000
Bi  0.333  0.667  0.500
Bi  0.667  0.333  0.000
Bi  0.667  0.333  0.500
O  0.000  0.241  0.655
O  0.000  0.241  0.845
O  0.000  0.395  0.250
O  0.000  0.400  0.058
O  0.000  0.400  0.442
O  0.000  0.600  0.558
O  0.000  0.600  0.942
O  0.000  0.605  0.750
O  0.000  0.759  0.155
O  0.000  0.759  0.345
O  0.241  0.000  0.655
O  0.241  0.000  0.845
O  0.241  0.241  0.155
O  0.241  0.241  0.345
O  0.333  0.667  0.150
O  0.333  0.667  0.350
O  0.333  0.667  0.650
O  0.333  0.667  0.850
O  0.395  0.000  0.250
O  0.395  0.395  0.750
O  0.400  0.000  0.058
O  0.400  0.000  0.442
O  0.400  0.400  0.558
O  0.400  0.400  0.942
O  0.600  0.000  0.558
O  0.600  0.000  0.942
O  0.600  0.600  0.058
O  0.600  0.600  0.442
O  0.605  0.000  0.750
O  0.605  0.605  0.250
O  0.667  0.333  0.150
O  0.667  0.333  0.350
O  0.667  0.333  0.650
O  0.667  0.333  0.850
O  0.759  0.000  0.155
O  0.759  0.000  0.345
O  0.759  0.759  0.655
O  0.759  0.759  0.845

---

Diffraction record for YTaBi2O7. The PXRD pattern is computed, not measured: it uses a DFT-relaxed cell (GGA-PBE, the Materials Project) and Cu Kα, 1.54184 Å.

Peak list (8 most intense, 15° ≤ 2θ ≤ 90°, by angle)
d_spacing, I/Imax
3.150, 93.3
3.137, 100.0
2.729, 25.5
2.719, 47.9
1.927, 74.3
1.644, 60.7
1.637, 28.7
1.251, 19.3

Structural model:
a b c (Å): 7.705 7.705 7.705
angles (deg): 120.33 119.90 89.81
Fractional positions:
Y  0.500  0.000  0.000
Y  0.500  0.500  0.500
Ta  0.000  0.000  0.000
Ta  0.500  0.000  0.500
Bi  0.000  0.000  0.500
Bi  0.000  0.500  0.000
Bi  0.000  0.500  0.500
Bi  0.500  0.500  0.000
O  0.119  0.369  0.750
O  0.138  0.318  0.203
O  0.138  0.935  0.819
O  0.233  0.983  0.250
O  0.384  0.065  0.703
O  0.384  0.682  0.319
O  0.391  0.641  0.750
O  0.609  0.359  0.250
O  0.616  0.318  0.681
O  0.616  0.935  0.297
O  0.767  0.017  0.750
O  0.862  0.065  0.181
O  0.862  0.682  0.797
O  0.881  0.631  0.250

---

Diffraction record for TaZnBiO5. The PXRD pattern is computed, not measured: it uses a DFT-relaxed cell (GGA-PBE, the Materials Project) and Cu Kα, 1.54184 Å.

Peak list (8 most intense, 15° ≤ 2θ ≤ 90°, by angle)
d_spacing, I/Imax
5.013, 42.8
3.663, 92.0
3.584, 22.5
3.115, 100.0
3.032, 31.0
2.785, 43.6
2.636, 33.6
2.525, 27.4

Structural model:
a b c (Å): 5.411 12.128 8.358
angles (deg): 90.00 112.10 90.00
Fractional positions:
Ta  0.179  0.145  0.466
Ta  0.179  0.355  0.966
Ta  0.821  0.645  0.034
Ta  0.821  0.855  0.534
Zn  0.454  0.581  0.333
Zn  0.454  0.919  0.833
Zn  0.546  0.081  0.167
Zn  0.546  0.419  0.667
Bi  0.053  0.593  0.668
Bi  0.053  0.907  0.168
Bi  0.947  0.093  0.832
Bi  0.947  0.407  0.332
O  0.176  0.675  0.152
O  0.176  0.825  0.652
O  0.220  0.070  0.671
O  0.220  0.430  0.171
O  0.242  0.525  0.485
O  0.242  0.975  0.985
O  0.299  0.060  0.319
O  0.299  0.440  0.819
O  0.316  0.211  0.013
O  0.316  0.289  0.513
O  0.684  0.711  0.487
O  0.684  0.789  0.987
O  0.701  0.560  0.181
O  0.701  0.940  0.681
O  0.758  0.025  0.015
O  0.758  0.475  0.515
O  0.780  0.570  0.829
O  0.780  0.930  0.329
O  0.824  0.175  0.348
O  0.824  0.325  0.848

---

Diffraction record for TaZn2BiO6. The PXRD pattern is computed, not measured: it uses a DFT-relaxed cell (GGA-PBE, the Materials Project) and Cu Kα, 1.54184 Å.

Peak list (8 most intense, 15° ≤ 2θ ≤ 90°, by angle)
d_spacing, I/Imax
4.040, 56.1
3.844, 25.7
2.857, 100.0
2.804, 46.9
2.787, 92.6
2.763, 46.8
2.023, 22.4
1.642, 46.5

Structural model:
a b c (Å): 5.532 8.091 5.615
angles (deg): 90.00 92.77 90.00
Fractional positions:
Ta  0.000  0.000  0.000
Ta  0.000  0.500  0.000
Zn  0.020  0.250  0.517
Zn  0.483  0.750  0.024
Zn  0.517  0.250  0.976
Zn  0.980  0.750  0.483
Bi  0.500  0.000  0.500
Bi  0.500  0.500  0.500
O  0.094  0.750  0.124
O  0.134  0.572  0.693
O  0.134  0.928  0.693
O  0.320  0.072  0.125
O  0.320  0.428  0.125
O  0.370  0.250  0.638
O  0.630  0.750  0.362
O  0.680  0.572  0.875
O  0.680  0.928  0.875
O  0.866  0.072  0.307
O  0.866  0.428  0.307
O  0.906  0.250  0.876

---

Diffraction record for TbBi5O9. The PXRD pattern is computed, not measured: it uses a DFT-relaxed cell (GGA-PBE, the Materials Project) and Cu Kα, 1.54184 Å.

Peak list (8 most intense, 15° ≤ 2θ ≤ 90°, by angle)
d_spacing, I/Imax
3.327, 29.4
3.113, 100.0
3.054, 36.6
3.015, 42.9
2.939, 28.4
2.903, 26.7
2.883, 29.2
1.997, 20.7

Structural model:
a b c (Å): 3.888 6.885 9.574
angles (deg): 84.09 78.44 88.62
Fractional positions:
Tb  0.000  0.000  0.000
Bi  0.131  0.420  0.638
Bi  0.312  0.124  0.329
Bi  0.508  0.469  0.976
Bi  0.639  0.883  0.639
Bi  0.838  0.621  0.300
O  0.039  0.315  0.874
O  0.167  0.757  0.546
O  0.345  0.457  0.269
O  0.454  0.158  0.086
O  0.570  0.921  0.865
O  0.618  0.555  0.718
O  0.829  0.222  0.502
O  0.909  0.948  0.254
O  0.935  0.657  0.070